Computed powder X-ray diffraction pattern of MgZn2Br6 for Cu Kα, from a cell relaxed with GGA-PBE.
Neutral-atom scattering factors, no anomalous dispersion.

a = 10.1464 Å, b = 10.1464 Å, c = 6.7691 Å
α = 106.65°, β = 106.65°, γ = 91.60°
Positions (direct):
Mg1 0.2144 0.7856 0.7500
Mg2 0.7856 0.2144 0.2500
Zn1 0.1978 0.3533 0.6362
Zn2 0.3533 0.1978 0.1362
Zn3 0.6467 0.8022 0.8638
Zn4 0.8022 0.6467 0.3638
Br1 0.0161 0.7903 0.4235
Br2 0.1880 0.5807 0.8826
Br3 0.2097 0.9839 0.0765
Br4 0.2411 0.3875 0.3171
Br5 0.3875 0.2411 0.8171
Br6 0.4193 0.8120 0.6174
Br7 0.5807 0.1880 0.3826
Br8 0.6125 0.7589 0.1829
Br9 0.7589 0.6125 0.6829
Br10 0.7903 0.0161 0.9235
Br11 0.8120 0.4193 0.1174
Br12 0.9839 0.2097 0.5765

Most intense lines, 5° ≤ 2θ ≤ 70°, in order of rising 2θ:
13.7 deg, intensity 26
18.4 deg, intensity 39
21.6 deg, intensity 36
26.0 deg, intensity 100
26.4 deg, intensity 51
28.2 deg, intensity 34
47.1 deg, intensity 26
47.6 deg, intensity 24